No. 1
This entry pairs a crystal structure of Tm2TiO5 with its calculated powder diffractogram. Radiation: λ = 1.5418 Å (Cu Kα). Structure: a cell relaxed with GGA-PBE.
Neutral-atom scattering factors, no anomalous dispersion.

```
Tm2TiO5
1.0
10.365 0.000 0.000
0.000 3.652 0.000
0.000 0.000 11.190
Tm Ti O
8 4 20
direct
0.115 0.250 0.224
0.135 0.250 0.557
0.365 0.750 0.057
0.385 0.750 0.724
0.615 0.250 0.276
0.635 0.250 0.943
0.865 0.750 0.443
0.885 0.750 0.776
0.176 0.250 0.881
0.324 0.750 0.381
0.676 0.250 0.619
0.824 0.750 0.119
0.008 0.250 0.842
0.008 0.750 0.604
0.225 0.250 0.045
0.241 0.750 0.227
0.244 0.750 0.884
0.256 0.250 0.384
0.259 0.250 0.727
0.275 0.750 0.545
0.492 0.250 0.104
0.492 0.750 0.342
0.508 0.250 0.658
0.508 0.750 0.896
0.725 0.250 0.455
0.741 0.750 0.273
0.744 0.750 0.616
0.756 0.250 0.116
0.759 0.250 0.773
0.775 0.750 0.955
0.992 0.250 0.396
0.992 0.750 0.158
```

Peak list (10 most intense, 2θ = 10–90°, by angle)
2theta  I (rel.)  (hkl)
11.64  30  1 0 1
25.38  20  1 0 3
29.51  78  2 0 3
29.93  100  2 1 0
34.37  39  0 1 3
34.62  16  4 0 0
35.45  19  3 0 3
49.60  55  4 1 3
49.95  18  0 2 0
59.11  31  2 2 3

---

No. 2
This entry pairs a crystal structure of Tb11O20 with its calculated powder diffractogram. Radiation: λ = 1.5418 Å (Cu Kα). Structure: a cell relaxed with GGA-PBE.
Neutral-atom scattering factors, no anomalous dispersion.

```
Tb11O20
1.0
6.563 0.000 0.000
-1.037 6.610 0.000
-0.527 -0.817 10.251
Tb O
11 20
direct
0.000 0.000 0.000
0.128 0.549 0.173
0.182 0.111 0.369
0.271 0.636 0.521
0.370 0.145 0.724
0.469 0.732 0.924
0.531 0.268 0.076
0.630 0.855 0.276
0.729 0.364 0.479
0.818 0.889 0.631
0.872 0.451 0.827
0.035 0.427 0.370
0.041 0.167 0.799
0.122 0.664 0.962
0.152 0.943 0.568
0.206 0.219 0.161
0.287 0.799 0.331
0.331 0.034 0.930
0.371 0.324 0.538
0.460 0.817 0.704
0.471 0.591 0.128
0.529 0.409 0.872
0.540 0.183 0.296
0.629 0.676 0.462
0.669 0.966 0.070
0.713 0.201 0.669
0.794 0.781 0.839
0.848 0.057 0.432
0.878 0.336 0.038
0.959 0.833 0.201
0.965 0.573 0.630
```

Peak list (10 most intense, 2θ = 10–90°, by angle)
2theta  I (rel.)  (hkl)
28.40  100  1 1 2
31.82  11  -1 1 3
32.77  11  1 2 -1
34.09  11  2 -1 2
46.24  8  0 3 2
46.40  8  2 1 -4
47.33  15  1 0 5
48.06  8  1 -3 3
55.81  10  3 2 -2
57.59  12  3 0 4

---

No. 3
This entry pairs a crystal structure of Zr2N2O with its calculated powder diffractogram. Radiation: λ = 1.5418 Å (Cu Kα). Structure: a cell relaxed with GGA-PBE.
Neutral-atom scattering factors, no anomalous dispersion.

```
Zr2N2O
1.0
8.864 0.000 0.000
-2.971 8.364 0.000
-2.949 -4.171 7.259
Zr N O
16 16 8
direct
0.000 0.000 0.000
0.001 0.500 0.498
0.034 0.793 0.261
0.215 0.760 0.971
0.245 0.043 0.790
0.261 0.548 0.306
0.300 0.266 0.548
0.474 0.723 0.762
0.500 0.010 0.507
0.512 0.530 0.022
0.529 0.291 0.257
0.716 0.769 0.474
0.747 0.976 0.219
0.757 0.480 0.724
0.788 0.261 0.051
0.964 0.225 0.752
0.014 0.476 0.746
0.227 0.462 0.496
0.263 0.999 0.542
0.277 0.044 0.051
0.454 0.494 0.233
0.466 0.750 0.021
0.496 0.242 0.467
0.510 0.785 0.552
0.547 0.521 0.784
0.733 0.981 0.965
0.743 0.029 0.479
0.762 0.243 0.281
0.775 0.742 0.247
0.958 0.741 0.978
0.971 0.966 0.737
0.995 0.545 0.269
0.040 0.061 0.282
0.042 0.284 0.037
0.231 0.282 0.774
0.239 0.783 0.735
0.280 0.778 0.237
0.537 0.271 0.989
0.729 0.249 0.783
0.779 0.563 0.527
```

Peak list (10 most intense, 2θ = 10–90°, by angle)
2theta  I (rel.)  (hkl)
21.23  13  1 0 -2
30.21  100  -3 1 1
34.99  18  -2 2 2
35.08  10  2 2 -2
37.20  5  1 -2 3
45.14  5  1 -4 3
50.33  19  0 4 0
50.41  19  4 0 -4
59.79  10  -3 1 5
59.90  13  3 3 -1

---

No. 4
This entry pairs a crystal structure of MnBr2 with its calculated powder diffractogram. Radiation: λ = 1.5418 Å (Cu Kα). Structure: a cell relaxed with GGA-PBE.
Neutral-atom scattering factors, no anomalous dispersion.

```
MnBr2
1.0
3.898 0.000 0.000
-1.949 3.376 0.000
0.000 0.000 7.084
Mn Br
1 2
direct
0.000 0.000 0.000
0.333 0.667 0.212
0.667 0.333 0.788
```

Peak list (10 most intense, 2θ = 10–90°, by angle)
2theta  I (rel.)  (hkl)
12.50  58  0 0 1
29.31  100  0 1 1
36.78  55  0 1 2
46.60  32  1 1 0
46.96  30  1 0 3
48.44  10  1 1 1
56.01  15  2 0 1
60.79  12  2 0 2
75.75  12  1 2 1
79.92  11  1 2 2

---

No. 5
This entry pairs a crystal structure of LiSi2Bi3O9 with its calculated powder diffractogram. Radiation: λ = 1.5418 Å (Cu Kα). Structure: a cell relaxed with GGA-PBE.
Neutral-atom scattering factors, no anomalous dispersion.

```
LiSi2Bi3O9
1.0
7.647 0.000 0.000
0.000 10.726 0.000
-0.082 0.000 10.725
Li Si Bi O
4 8 12 36
direct
0.126 0.040 0.354
0.126 0.460 0.854
0.874 0.540 0.146
0.874 0.960 0.646
0.175 0.128 0.804
0.175 0.372 0.304
0.395 0.628 0.690
0.395 0.872 0.190
0.605 0.128 0.810
0.605 0.372 0.310
0.825 0.628 0.696
0.825 0.872 0.196
0.119 0.698 0.409
0.119 0.802 0.909
0.335 0.564 0.102
0.335 0.936 0.602
0.366 0.201 0.091
0.366 0.299 0.591
0.634 0.701 0.409
0.634 0.799 0.909
0.665 0.064 0.398
0.665 0.436 0.898
0.881 0.198 0.091
0.881 0.302 0.591
0.105 0.249 0.228
0.105 0.251 0.728
0.111 0.503 0.241
0.111 0.997 0.741
0.123 0.616 0.980
0.123 0.884 0.480
0.150 0.135 0.956
0.150 0.365 0.456
0.314 0.004 0.226
0.314 0.496 0.726
0.329 0.749 0.773
0.329 0.751 0.273
0.358 0.114 0.502
0.358 0.386 0.002
0.385 0.665 0.540
0.385 0.835 0.040
0.390 0.131 0.776
0.390 0.369 0.276
0.610 0.631 0.724
0.610 0.869 0.224
0.615 0.165 0.960
0.615 0.335 0.460
0.642 0.614 0.998
0.642 0.886 0.498
0.671 0.249 0.727
0.671 0.251 0.227
0.686 0.504 0.274
0.686 0.996 0.774
0.850 0.635 0.544
0.850 0.865 0.044
0.877 0.116 0.520
0.877 0.384 0.020
0.889 0.003 0.259
0.889 0.497 0.759
0.895 0.749 0.272
0.895 0.751 0.772
```

Peak list (10 most intense, 2θ = 10–90°, by angle)
2theta  I (rel.)  (hkl)
16.50  37  1 1 1
16.53  36  0 2 0
18.50  69  0 1 2
24.72  30  2 1 0
26.28  62  0 3 1
28.57  61  2 0 -2
28.79  58  2 0 2
30.04  100  0 3 2
34.34  29  2 3 0
43.00  43  2 3 3

---

No. 6
This entry pairs a crystal structure of TbNiGe2 with its calculated powder diffractogram. Radiation: λ = 1.5418 Å (Cu Kα). Structure: a cell relaxed with GGA-PBE.
Neutral-atom scattering factors, no anomalous dispersion.

```
TbNiGe2
1.0
4.142 0.000 0.000
0.000 16.597 0.000
0.000 0.000 4.192
Tb Ni Ge
4 4 8
direct
0.000 0.108 0.250
0.000 0.892 0.750
0.500 0.392 0.750
0.500 0.608 0.250
0.000 0.320 0.250
0.000 0.680 0.750
0.500 0.180 0.750
0.500 0.820 0.250
0.000 0.251 0.750
0.000 0.458 0.250
0.000 0.542 0.750
0.000 0.749 0.250
0.500 0.042 0.750
0.500 0.249 0.250
0.500 0.751 0.750
0.500 0.958 0.250
```

Peak list (10 most intense, 2θ = 10–90°, by angle)
2theta  I (rel.)  (hkl)
30.82  22  1 1 1
34.49  100  1 3 1
34.63  40  1 5 0
39.01  30  0 6 1
43.16  29  0 0 2
43.70  29  2 0 0
56.47  19  1 5 2
60.00  18  2 6 1
63.10  19  2 0 2
74.35  15  3 3 1

---

No. 7
This entry pairs a crystal structure of Tb3Zr with its calculated powder diffractogram. Radiation: λ = 1.5418 Å (Cu Kα). Structure: a cell relaxed with GGA-PBE.
Neutral-atom scattering factors, no anomalous dispersion.

```
Tb3Zr
1.0
4.897 0.000 0.000
0.000 4.897 0.000
0.000 0.000 9.750
Tb Zr
6 2
direct
0.000 0.000 0.000
0.000 0.500 0.250
0.000 0.500 0.750
0.500 0.000 0.250
0.500 0.000 0.750
0.500 0.500 0.500
0.000 0.000 0.500
0.500 0.500 0.000
```

Peak list (10 most intense, 2θ = 10–90°, by angle)
2theta  I (rel.)  (hkl)
31.69  100  1 1 2
36.70  34  2 0 0
36.87  17  0 0 4
52.88  12  2 2 0
53.01  23  2 0 4
62.97  28  3 1 2
63.21  14  1 1 6
66.20  12  2 2 4
86.68  6  3 3 2
86.89  12  3 1 6

---

No. 8
This entry pairs a crystal structure of Ga9Rh2 with its calculated powder diffractogram. Radiation: λ = 1.5418 Å (Cu Kα). Structure: a cell relaxed with GGA-PBE.
Neutral-atom scattering factors, no anomalous dispersion.

```
Ga9Rh2
1.0
6.473 0.000 0.000
0.000 6.396 0.000
-0.530 0.000 8.981
Ga Rh
18 4
direct
0.000 0.000 0.000
0.000 0.500 0.500
0.100 0.218 0.727
0.100 0.282 0.227
0.214 0.604 0.043
0.214 0.896 0.543
0.388 0.202 0.999
0.388 0.298 0.499
0.400 0.518 0.767
0.400 0.982 0.267
0.600 0.018 0.733
0.600 0.482 0.233
0.612 0.702 0.501
0.612 0.798 0.001
0.786 0.104 0.457
0.786 0.396 0.957
0.900 0.718 0.773
0.900 0.782 0.273
0.261 0.623 0.333
0.261 0.877 0.833
0.739 0.123 0.167
0.739 0.377 0.667
```

Peak list (10 most intense, 2θ = 10–90°, by angle)
2theta  I (rel.)  (hkl)
33.12  61  2 1 1
36.76  82  1 2 -2
37.67  100  1 2 2
37.96  90  2 1 2
42.36  80  2 1 -3
44.30  82  1 2 3
44.38  74  3 1 0
44.76  83  1 3 0
44.99  67  3 1 -1
45.76  76  1 3 -1

---

No. 9
This entry pairs a crystal structure of ErB2C2 with its calculated powder diffractogram. Radiation: λ = 1.5418 Å (Cu Kα). Structure: a cell relaxed with GGA-PBE.
Neutral-atom scattering factors, no anomalous dispersion.

```
ErB2C2
1.0
3.789 0.000 0.000
0.000 3.789 0.000
0.000 0.000 7.092
Er B C
2 4 4
direct
0.000 0.000 0.250
0.000 0.000 0.750
0.215 0.500 0.000
0.500 0.215 0.500
0.500 0.785 0.500
0.785 0.500 0.000
0.188 0.500 0.500
0.500 0.188 0.000
0.500 0.812 0.000
0.812 0.500 0.500
```

Peak list (10 most intense, 2θ = 10–90°, by angle)
2theta  I (rel.)  (hkl)
23.48  96  1 0 0
25.11  27  0 0 2
33.44  41  1 1 0
34.65  100  1 0 2
42.28  56  1 1 2
48.02  18  2 0 0
54.12  29  2 1 0
54.95  22  2 0 2
60.56  28  2 1 2
78.00  20  2 1 4

---

No. 10
This entry pairs a crystal structure of NaCuF3 with its calculated powder diffractogram. Radiation: λ = 1.5418 Å (Cu Kα). Structure: a cell relaxed with GGA-PBE.
Neutral-atom scattering factors, no anomalous dispersion.

```
NaCuF3
1.0
5.439 0.000 0.000
0.000 5.629 0.000
-5.370 0.000 7.818
Na Cu F
4 4 12
direct
0.230 0.056 0.246
0.230 0.444 0.746
0.770 0.556 0.254
0.770 0.944 0.754
0.000 0.000 0.500
0.000 0.500 0.000
0.500 0.000 0.000
0.500 0.500 0.500
0.148 0.209 0.949
0.148 0.291 0.449
0.238 0.705 0.942
0.238 0.795 0.442
0.354 0.034 0.754
0.354 0.466 0.254
0.646 0.534 0.746
0.646 0.966 0.246
0.762 0.205 0.558
0.762 0.295 0.058
0.852 0.709 0.551
0.852 0.791 0.051
```

Peak list (10 most intense, 2θ = 10–90°, by angle)
2theta  I (rel.)  (hkl)
22.74  100  1 1 -1
31.80  22  0 2 0
32.27  45  1 1 1
32.49  42  1 1 -3
32.93  17  2 0 -2
46.44  60  0 0 4
52.17  16  2 2 0
52.46  15  2 2 -4
58.26  14  3 1 -1
58.66  14  3 1 -5